NaPmPrBi: theoretical X-ray diffraction stick pattern (Cu Kα X-rays), based on the PBE geometry in Alexandria.
Peak positions follow from Bragg's law for the DFT cell and can differ from measured ones.

Principal peaks in the range 10 to 90 degrees two-theta, low angle first:
2θ = 19.57°, I 27
2θ = 32.23°, I 100
2θ = 37.99°, I 16
2θ = 46.23°, I 19
2θ = 50.65°, I 7
2θ = 57.47°, I 39
2θ = 61.32°, I 6
2θ = 67.44°, I 12
2θ = 70.98°, I 6
2θ = 76.73°, I 17

Cell and atoms:
Cell: 7.8557 7.8557 7.8557 Å, 90.00 90.00 90.00°
Space group F-43m (No. 216)
Unique sites:
Na 0.0000 0.0000 0.0000
Pm 0.2500 0.2500 0.7500
Pr 0.2500 0.2500 0.2500
Bi 0.0000 0.0000 0.5000